[1]
BaInPH: theoretical powder diffractogram (a wavelength of 1.5418 Å), based on a GGA-PBE-relaxed structure.
Kinematic intensities with the Lorentz-polarization factor, no thermal factor.

Most intense lines, 2θ = 15–90°, in order of rising 2θ:
| h k l | Position (°2θ) | d/Å | I/Imax |
| --- | --- | --- | --- |
| 1 0 1 | 23.7 | 3.750 | 61 |
| 1 0 2 | 27.8 | 3.204 | 100 |
| 0 0 4 | 33.6 | 2.670 | 24 |
| 1 0 3 | 33.7 | 2.661 | 40 |
| 1 1 0 | 38.9 | 2.313 | 56 |
| 2 0 2 | 48.5 | 1.875 | 21 |
| 1 1 4 | 52.4 | 1.747 | 50 |
| 1 0 6 | 56.6 | 1.627 | 16 |
| 2 1 2 | 63.9 | 1.457 | 19 |
| 3 0 0 | 70.5 | 1.335 | 11 |
| 3 0 4 | 80.4 | 1.194 | 11 |
| 2 2 0 | 83.6 | 1.156 | 13 |

Crystal structure
```
data_BaInPH
_cell_length_a 4.6252
_cell_length_b 4.6252
_cell_length_c 10.6791
_cell_angle_alpha 90.00
_cell_angle_beta 90.00
_cell_angle_gamma 120.00
_symmetry_space_group_name_H-M 'P 63 m c'
_symmetry_Int_Tables_number 186
_symmetry_space_group_name_Hall 'P 6c -2c'
loop_
_atom_site_label
_atom_site_fract_x
_atom_site_fract_y
_atom_site_fract_z
_atom_site_occupancy
Ba1 0.3333 0.6667 0.0000 1
In1 0.0000 0.0000 0.2623 1
P1 0.3333 0.6667 0.3049 1
H1 0.0000 0.0000 0.0806 1
```



[2]
Mg2H5Ir3: theoretical powder diffractogram (a wavelength of 1.5418 Å), based on a GGA-PBE-relaxed structure.
Kinematic intensities with the Lorentz-polarization factor, no thermal factor.

Most intense lines, 2θ = 15–90°, in order of rising 2θ:
| h k l | Position (°2θ) | d/Å | I/Imax |
| --- | --- | --- | --- |
| 0 1 0 | 18.5 | 4.806 | 26 |
| 0 0 2 | 24.5 | 3.633 | 35 |
| 1 -1 0 | 35.9 | 2.503 | 15 |
| 0 0 3 | 37.1 | 2.420 | 100 |
| 0 2 0 | 37.4 | 2.403 | 21 |
| 1 1 1 | 38.9 | 2.318 | 32 |
| 0 1 -3 | 39.4 | 2.287 | 15 |
| 0 2 1 | 41.1 | 2.196 | 22 |
| 0 2 -2 | 42.2 | 2.140 | 21 |
| 1 1 -2 | 42.4 | 2.132 | 18 |
| -1 1 2 | 45.4 | 1.998 | 38 |
| 1 1 -4 | 60.9 | 1.521 | 14 |

Crystal structure
```
data_Mg2H5Ir3
_cell_length_a 2.9327
_cell_length_b 4.8491
_cell_length_c 7.3316
_cell_angle_alpha 97.65
_cell_angle_beta 90.07
_cell_angle_gamma 90.00
_symmetry_space_group_name_H-M 'P 1'
_symmetry_Int_Tables_number 1
loop_
_symmetry_equiv_pos_as_xyz
'x,y,z'
loop_
_atom_site_label
_atom_site_fract_x
_atom_site_fract_y
_atom_site_fract_z
_atom_site_occupancy
Mg1 0.0000 0.0000 0.0000 1
Mg2 0.4987 0.5333 0.4042 1
H1 0.0002 0.4306 0.9596 1
H2 0.4980 0.0918 0.2435 1
H3 0.4997 0.6285 0.8278 1
H4 0.9976 0.7007 0.2268 1
H5 0.9988 0.3318 0.4909 1
Ir1 0.4992 0.9041 0.7032 1
Ir2 0.9982 0.0037 0.3640 1
Ir3 0.9994 0.3728 0.7355 1
```



[3]
Li2Pd3Au5: theoretical powder diffractogram (a wavelength of 1.5418 Å), based on a GGA-PBE-relaxed structure.
Kinematic intensities with the Lorentz-polarization factor, no thermal factor.

Most intense lines, 2θ = 15–90°, in order of rising 2θ:
| h k l | Position (°2θ) | d/Å | I/Imax |
| --- | --- | --- | --- |
| 1 0 0 | 21.2 | 4.195 | 52 |
| 1 1 1 | 22.3 | 3.986 | 49 |
| 0 1 2 | 26.5 | 3.362 | 43 |
| 0 1 -2 | 30.6 | 2.921 | 23 |
| 2 1 1 | 38.1 | 2.363 | 46 |
| 0 0 4 | 39.1 | 2.306 | 76 |
| 1 2 -1 | 40.3 | 2.237 | 100 |
| 2 1 2 | 41.0 | 2.203 | 19 |
| 1 -1 2 | 43.1 | 2.101 | 44 |
| 1 2 3 | 43.8 | 2.069 | 44 |
| 2 1 -2 | 44.3 | 2.043 | 23 |
| 2 1 5 | 60.5 | 1.529 | 20 |

Crystal structure
```
data_Li2Pd3Au5
_cell_length_a 4.7915
_cell_length_b 4.8822
_cell_length_c 9.3549
_cell_angle_alpha 80.47
_cell_angle_beta 84.85
_cell_angle_gamma 61.10
_symmetry_space_group_name_H-M 'P -1'
_symmetry_Int_Tables_number 2
loop_
_symmetry_equiv_pos_as_xyz
'x,y,z'
'-x,-y,-z'
loop_
_atom_site_label
_atom_site_fract_x
_atom_site_fract_y
_atom_site_fract_z
_atom_site_occupancy
Li1 0.0050 0.0824 0.2876 1
Pd1 0.0000 0.5000 0.0000 1
Pd2 0.3221 0.2395 0.7516 1
Au1 0.3282 0.8358 0.0039 1
Au2 0.3346 0.4274 0.2586 1
Au3 0.5000 0.0000 0.5000 1
```



What did the first record say?
BaInPH: theoretical powder diffractogram (a wavelength of 1.5418 Å), based on a GGA-PBE-relaxed structure.
Kinematic intensities with the Lorentz-polarization factor, no thermal factor.

Most intense lines, 2θ = 15–90°, in order of rising 2θ:
| h k l | Position (°2θ) | d/Å | I/Imax |
| --- | --- | --- | --- |
| 1 0 1 | 23.7 | 3.750 | 61 |
| 1 0 2 | 27.8 | 3.204 | 100 |
| 0 0 4 | 33.6 | 2.670 | 24 |
| 1 0 3 | 33.7 | 2.661 | 40 |
| 1 1 0 | 38.9 | 2.313 | 56 |
| 2 0 2 | 48.5 | 1.875 | 21 |
| 1 1 4 | 52.4 | 1.747 | 50 |
| 1 0 6 | 56.6 | 1.627 | 16 |
| 2 1 2 | 63.9 | 1.457 | 19 |
| 3 0 0 | 70.5 | 1.335 | 11 |
| 3 0 4 | 80.4 | 1.194 | 11 |
| 2 2 0 | 83.6 | 1.156 | 13 |

Crystal structure
```
data_BaInPH
_cell_length_a 4.6252
_cell_length_b 4.6252
_cell_length_c 10.6791
_cell_angle_alpha 90.00
_cell_angle_beta 90.00
_cell_angle_gamma 120.00
_symmetry_space_group_name_H-M 'P 63 m c'
_symmetry_Int_Tables_number 186
_symmetry_space_group_name_Hall 'P 6c -2c'
loop_
_atom_site_label
_atom_site_fract_x
_atom_site_fract_y
_atom_site_fract_z
_atom_site_occupancy
Ba1 0.3333 0.6667 0.0000 1
In1 0.0000 0.0000 0.2623 1
P1 0.3333 0.6667 0.3049 1
H1 0.0000 0.0000 0.0806 1
```



Number 2 is which compound? Mg2H5Ir3